The following is a calculated powder X-ray diffraction pattern of LaNdI4. It was derived from the GGA-PBE geometry in Alexandria, using λ = 1.5418 Å (Cu Kα).
Neutral-atom scattering factors, no anomalous dispersion.

The 10 most intense peaks (15° ≤ 2θ ≤ 90°), sorted by position:
Position (°2θ)	d/Å	I_rel
15.7	5.636	37
24.6	3.624	21
25.9	3.445	33
28.1	3.170	100
29.0	3.077	43
38.6	2.333	23
40.2	2.242	38
40.9	2.208	67
50.4	1.812	37
73.6	1.288	24

Cell and atoms:
Unit cell a=6.3402 b=6.3402 c=12.3089 alpha=90.00 beta=90.00 gamma=90.00
Atoms (fractional coordinates):
1 La 0.0000 0.0000 0.0000
2 La 0.5000 0.5000 0.5000
3 Nd 0.0000 0.5000 0.2500
4 Nd 0.5000 0.0000 0.7500
5 I 0.0000 0.0000 0.2653
6 I 0.0000 0.0000 0.7347
7 I 0.0000 0.5000 0.5115
8 I 0.0000 0.5000 0.9885
9 I 0.5000 0.0000 0.0115
10 I 0.5000 0.0000 0.4885
11 I 0.5000 0.5000 0.2347
12 I 0.5000 0.5000 0.7653